Structure and simulated X-ray diffraction stick pattern of ZnAg2PO4 (a DFT-relaxed cell (PBE, Alexandria); Cu Kα).

Most intense lines, 15 to 90 degrees two-theta, by intensity:
| 2θ/deg | I/Imax |
| --- | --- |
| 32.77 | 100 |
| 33.81 | 19 |
| 33.97 | 18 |
| 59.82 | 16 |
| 60.03 | 15 |
| 57.73 | 15 |

Atomic structure:
Unit cell a=5.278 b=5.303 c=5.475 alpha=61.08 beta=61.25 gamma=89.99
Space group P1 (No. 1)
Unique sites:
1 Zn 0.000 0.000 0.000
2 Ag 0.499 0.497 0.004
3 Ag 0.749 0.250 0.500
4 P 0.249 0.749 0.502
5 O 0.014 0.429 0.724
6 O 0.152 0.985 0.279
7 O 0.262 0.845 0.726
8 O 0.570 0.737 0.279